# ErPu2S4
Theoretical powder diffractogram, CuKα. Input: a crystal structure in Alexandria, relaxed with PBE.

Atomic structure:
abc: 3.824 13.044 13.139
angles: 90.00 90.00 90.00
Space group Cmcm (No. 63)
Inequivalent atoms, fractional coordinates:
Er1 0.000 0.123 0.250 [4 per cell]
Pu1 0.000 0.368 0.070 [8 per cell]
S1 0.000 0.000 0.000 [4 per cell]
S2 0.000 0.278 0.625 [8 per cell]
S3 0.000 0.475 0.250 [4 per cell]

Most intense lines, 2θ = 10–80°, by angle:
(0 2 3), 2θ 24.48, rel. 100; (1 1 1), 2θ 25.20, rel. 26; (0 4 0), 2θ 27.35, rel. 28; (1 1 2), 2θ 27.85, rel. 27; (1 3 1), 2θ 31.88, rel. 35; (1 3 2), 2θ 34.07, rel. 43; (1 1 5), 2θ 42.30, rel. 28; (2 2 3), 2θ 54.20, rel. 24

# Er2PuSc3S6
Theoretical powder diffractogram, CuKα. Input: a crystal structure in Alexandria, relaxed with PBE.

Atomic structure:
abc: 16.543 3.778 7.610
angles: 90.00 103.37 90.00
Space group C2/m (No. 12)
Inequivalent atoms, fractional coordinates:
Er1 0.164 0.000 0.329 [4 per cell]
Pu1 0.000 0.500 0.000 [2 per cell]
Sc1 0.000 0.500 0.500 [2 per cell]
Sc2 0.165 0.000 0.838 [4 per cell]
S1 0.003 0.000 0.738 [4 per cell]
S2 0.165 0.500 0.591 [4 per cell]
S3 0.172 0.500 0.079 [4 per cell]

Most intense lines, 2θ = 10–80°, by angle:
(2 0 -1), 2θ 14.26, rel. 50; (4 0 1), 2θ 27.62, rel. 38; (4 0 -2), 2θ 28.76, rel. 30; (3 1 0), 2θ 28.91, rel. 30; (1 1 -2), 2θ 33.42, rel. 100; (5 1 -1), 2θ 36.55, rel. 15; (6 0 -3), 2θ 43.78, rel. 14; (5 1 2), 2θ 47.98, rel. 46

# Er3Pu3ScS8
Theoretical powder diffractogram, CuKα. Input: a crystal structure in Alexandria, relaxed with PBE.

Atomic structure:
abc: 7.7668 7.7668 19.1368
angles: 90.00 90.00 120.00
Space group R-3m (No. 166, hexagonal axes)
Inequivalent atoms, fractional coordinates:
Er1 0.0000 0.5000 0.0000 [9 per cell]
Pu1 0.0000 0.5000 0.5000 [9 per cell]
Sc1 0.0000 0.0000 0.0000 [3 per cell]
S1 0.0000 0.0000 0.2519 [6 per cell]
S2 0.0075 0.5038 0.7454 [18 per cell]

Most intense lines, 2θ = 10–80°, by angle:
(0 1 2), 2θ 16.11, rel. 29; (1 1 0), 2θ 22.86, rel. 26; (0 0 6), 2θ 27.97, rel. 20; (2 0 2), 2θ 28.12, rel. 60; (0 2 4), 2θ 32.54, rel. 100; (2 0 8), 2θ 46.59, rel. 36; (2 2 0), 2θ 46.79, rel. 36; (2 2 6), 2θ 55.43, rel. 30

# Er5PuSb6
Theoretical powder diffractogram, CuKα. Input: a crystal structure in Alexandria, relaxed with PBE.

Atomic structure:
abc: 7.566 13.098 7.563
angles: 90.00 109.47 90.00
Space group C2/m (No. 12)
Inequivalent atoms, fractional coordinates:
Er1 0.000 0.000 0.000 [2 per cell]
Er2 0.000 0.167 0.500 [4 per cell]
Er3 0.000 0.334 0.000 [4 per cell]
Pu1 0.000 0.500 0.500 [2 per cell]
Sb1 0.248 0.000 0.750 [4 per cell]
Sb2 0.248 0.168 0.248 [8 per cell]

Most intense lines, 2θ = 10–80°, by angle:
(2 0 0), 2θ 24.97, rel. 6; (1 3 1), 2θ 28.91, rel. 100; (2 0 2), 2θ 41.35, rel. 76; (3 3 1), 2θ 48.91, rel. 4; (4 0 0), 2θ 51.24, rel. 27; (2 6 2), 2θ 59.91, rel. 13; (4 6 0), 2θ 67.87, rel. 35; (5 3 1), 2θ 75.40, rel. 26

# Sm2ErPuSb4
Theoretical powder diffractogram, CuKα. Input: a crystal structure in Alexandria, relaxed with PBE.

Atomic structure:
abc: 7.669 4.439 7.677
angles: 90.00 109.42 90.00
Space group P2/m (No. 10)
Inequivalent atoms, fractional coordinates:
Sm1 0.000 0.000 0.000 [1 per cell]
Sm2 0.500 0.500 0.000 [1 per cell]
Er1 0.000 0.500 0.500 [1 per cell]
Pu1 0.500 0.000 0.500 [1 per cell]
Sb1 0.246 0.000 0.743 [2 per cell]
Sb2 0.250 0.500 0.256 [2 per cell]

Most intense lines, 2θ = 10–80°, by angle:
(1 1 1), 2θ 28.47, rel. 100; (0 2 0), 2θ 40.70, rel. 77; (4 0 0), 2θ 50.42, rel. 27; (2 2 2), 2θ 58.89, rel. 9; (4 2 0), 2θ 66.69, rel. 24; (5 1 -3), 2θ 66.78, rel. 12; (3 3 -1), 2θ 74.06, rel. 20; (6 0 -2), 2θ 74.15, rel. 7

# Er3PuSc3
Theoretical powder diffractogram, CuKα. Input: a crystal structure in Alexandria, relaxed with PBE.

Atomic structure:
abc: 5.920 6.347 11.631
angles: 98.81 90.32 117.18
Space group P-1 (No. 2)
Inequivalent atoms, fractional coordinates:
Er1 0.002 0.344 0.109 [2 per cell]
Er2 0.138 0.925 0.186 [2 per cell]
Er3 0.420 0.493 0.742 [2 per cell]
Pu1 0.448 0.224 0.968 [2 per cell]
Sc1 0.157 0.642 0.401 [2 per cell]
Sc2 0.269 0.209 0.467 [2 per cell]
Sc3 0.294 0.925 0.671 [2 per cell]

Most intense lines, 2θ = 10–80°, by angle:
(2 -1 0), 2θ 30.14, rel. 70; (0 2 -2), 2θ 33.28, rel. 71; (1 0 -4), 2θ 34.39, rel. 99; (1 1 2), 2θ 34.50, rel. 100; (-1 2 2), 2θ 34.63, rel. 51; (2 -2 1), 2θ 34.75, rel. 46; (-3 2 3), 2θ 53.58, rel. 36; (3 1 1), 2θ 64.29, rel. 20